The following is a computed powder XRD pattern of SbTe2As. It was derived from a crystal structure in Alexandria, relaxed with PBE, using a wavelength of 1.5418 Å.

Largest 10 diffraction maxima, by intensity, 5 to 70 degrees two-theta:
| Position (°2θ) | intensity | index |
| --- | --- | --- |
| 29.2 | 100 | 1 0 4 |
| 41.9 | 38 | 1 1 0 |
| 41.5 | 35 | 0 1 8 |
| 51.9 | 20 | 0 2 4 |
| 68.8 | 17 | 2 1 4 |
| 68.3 | 14 | 1 1 12 |
| 60.5 | 11 | 2 0 8 |
| 51.2 | 5 | 0 0 12 |
| 31.8 | 5 | 0 1 5 |
| 57.8 | 4 | 1 1 9 |

Cell and atoms:
Cell: 4.3086 4.3086 21.3916 Å, 90.00 90.00 120.00°
Space group R3m (No. 160, hexagonal axes)
Inequivalent atoms, fractional coordinates:
1 Sb 0.0000 0.0000 0.0000
2 Te 0.0000 0.0000 0.5166
3 Te 0.0000 0.0000 0.7547
4 As 0.0000 0.0000 0.2609

The following is a computed powder XRD pattern of InSiSb. It was derived from a crystal structure in Alexandria, relaxed with PBE, using a wavelength of 1.5418 Å.

Largest 10 diffraction maxima, by intensity, 5 to 70 degrees two-theta:
| Position (°2θ) | intensity | index |
| --- | --- | --- |
| 35.1 | 100 | 0 1 1 |
| 34.9 | 84 | 1 1 0 |
| 19.9 | 38 | 1 0 0 |
| 62.7 | 36 | 1 2 1 |
| 50.3 | 35 | 2 0 1 |
| 62.5 | 15 | 3 0 0 |
| 40.5 | 6 | 2 0 0 |
| 59.2 | 6 | 0 0 2 |
| 54.5 | 5 | 2 1 0 |
| 63.1 | 3 | 0 1 2 |

Cell and atoms:
Cell: 5.1478 5.1478 3.1202 Å, 90.00 90.00 120.00°
Space group P3m1 (No. 156)
Inequivalent atoms, fractional coordinates:
1 In 0.0000 0.0000 0.0000
2 Si 0.6667 0.3333 0.5178
3 Sb 0.3333 0.6667 0.5057

The following is a computed powder XRD pattern of Pm6Sm12Tl. It was derived from a crystal structure in Alexandria, relaxed with PBE, using a wavelength of 1.5418 Å.

Largest 10 diffraction maxima, by intensity, 5 to 70 degrees two-theta:
| Position (°2θ) | intensity | index |
| --- | --- | --- |
| 31.4 | 100 | 4 -3 1 |
| 32.6 | 71 | 2 1 4 |
| 30.5 | 44 | 0 1 5 |
| 33.0 | 32 | 3 1 2 |
| 31.1 | 31 | 0 3 3 |
| 34.5 | 22 | 4 -2 3 |
| 54.7 | 19 | 2 5 0 |
| 23.2 | 15 | 3 -1 1 |
| 44.6 | 14 | 3 2 4 |
| 57.6 | 12 | 1 5 5 |

Cell and atoms:
Cell: 12.0879 12.0879 15.2670 Å, 90.00 90.00 120.00°
Space group R-3 (No. 148, hexagonal axes)
Inequivalent atoms, fractional coordinates:
1 Pm 0.0167 0.5903 0.1853
2 Sm 0.0020 0.8280 0.3137
3 Sm 0.0457 0.1967 0.9162
4 Tl 0.0000 0.0000 0.5000

The following is a computed powder XRD pattern of NaBi3. It was derived from a crystal structure in Alexandria, relaxed with PBE, using a wavelength of 1.5418 Å.

Largest 10 diffraction maxima, by intensity, 5 to 70 degrees two-theta:
| Position (°2θ) | intensity | index |
| --- | --- | --- |
| 33.3 | 100 | 2 0 1 |
| 30.7 | 28 | 0 0 2 |
| 61.9 | 23 | 2 2 2 |
| 56.3 | 23 | 2 0 3 |
| 29.5 | 23 | 2 0 0 |
| 21.2 | 21 | 1 0 1 |
| 52.3 | 19 | 2 2 0 |
| 43.1 | 17 | 2 0 2 |
| 63.4 | 16 | 4 0 1 |
| 14.6 | 13 | 1 0 0 |

Cell and atoms:
Cell: 7.0007 7.0007 5.8222 Å, 90.00 90.00 120.00°
Space group P6_3/mmc (No. 194)
Inequivalent atoms, fractional coordinates:
1 Na 0.3333 0.6667 0.2500
2 Bi 0.1630 0.3259 0.7500

The following is a computed powder XRD pattern of OsPbO4. It was derived from a crystal structure in Alexandria, relaxed with PBE, using a wavelength of 1.5418 Å.

Largest 10 diffraction maxima, by intensity, 5 to 70 degrees two-theta:
| Position (°2θ) | intensity | index |
| --- | --- | --- |
| 28.0 | 100 | 2 0 0 |
| 31.6 | 99 | 1 3 0 |
| 24.8 | 84 | 0 2 1 |
| 17.8 | 82 | 1 1 -1 |
| 40.3 | 81 | 1 3 -2 |
| 30.5 | 71 | 2 0 -2 |
| 18.7 | 61 | 0 2 0 |
| 32.5 | 51 | 0 0 2 |
| 48.4 | 37 | 3 3 -2 |
| 30.8 | 37 | 2 2 -1 |

Cell and atoms:
Cell: 7.3598 9.4837 6.3683 Å, 90.00 120.12 90.00°
Space group C2/c (No. 15)
Inequivalent atoms, fractional coordinates:
1 Os 0.0000 0.0051 0.2500
2 Pb 0.0000 0.3651 0.7500
3 O 0.0181 0.1347 0.9786
4 O 0.2198 0.4596 0.5806

The following is a computed powder XRD pattern of Ce2Zn3Ga. It was derived from a crystal structure in Alexandria, relaxed with PBE, using a wavelength of 1.5418 Å.

Largest 10 diffraction maxima, by intensity, 5 to 70 degrees two-theta:
| Position (°2θ) | intensity | index |
| --- | --- | --- |
| 35.0 | 100 | 2 2 2 |
| 38.9 | 71 | 0 2 6 |
| 53.3 | 29 | 2 0 8 |
| 69.5 | 21 | 4 2 6 |
| 67.9 | 19 | 2 4 8 |
| 22.2 | 17 | 0 0 4 |
| 68.0 | 9 | 2 2 10 |
| 55.1 | 7 | 4 0 0 |
| 45.2 | 3 | 0 4 4 |
| 32.4 | 2 | 1 1 5 |

Cell and atoms:
Cell: 6.6688 9.2752 16.0188 Å, 90.00 90.00 90.00°
Space group Fmmm (No. 69)
Inequivalent atoms, fractional coordinates:
1 Ce 0.2174 0.0000 0.0000
2 Ce 0.2500 0.2500 0.2500
3 Zn 0.0000 0.0000 0.1688
4 Zn 0.0000 0.2419 0.4179
5 Ga 0.0000 0.0000 0.3368

The following is a computed powder XRD pattern of MgNbVIr. It was derived from a crystal structure in Alexandria, relaxed with PBE, using a wavelength of 1.5418 Å.

Largest 8 diffraction maxima, by intensity, 5 to 70 degrees two-theta:
| Position (°2θ) | intensity | index |
| --- | --- | --- |
| 40.1 | 100 | 2 2 0 |
| 24.2 | 45 | 1 1 1 |
| 47.4 | 24 | 3 1 1 |
| 58.0 | 17 | 4 0 0 |
| 28.0 | 14 | 2 0 0 |
| 63.7 | 10 | 3 3 1 |
| 65.6 | 5 | 4 2 0 |
| 49.6 | 4 | 2 2 2 |

Cell and atoms:
Cell: 6.3643 6.3643 6.3643 Å, 90.00 90.00 90.00°
Space group F-43m (No. 216)
Inequivalent atoms, fractional coordinates:
1 Mg 0.0000 0.0000 0.0000
2 Nb 0.0000 0.0000 0.5000
3 V 0.2500 0.2500 0.2500
4 Ir 0.2500 0.2500 0.7500

The following is a computed powder XRD pattern of Rb6Mn3I14. It was derived from a crystal structure in Alexandria, relaxed with PBE, using a wavelength of 1.5418 Å.

Largest 10 diffraction maxima, by intensity, 5 to 70 degrees two-theta:
| Position (°2θ) | intensity | index |
| --- | --- | --- |
| 23.8 | 100 | 1 2 1 |
| 26.3 | 81 | 0 3 1 |
| 24.1 | 47 | 0 1 2 |
| 30.8 | 40 | 4 -3 1 |
| 31.1 | 29 | 2 1 2 |
| 40.6 | 29 | 1 2 3 |
| 13.8 | 25 | 1 0 1 |
| 13.6 | 25 | 1 1 0 |
| 36.8 | 23 | 3 1 2 |
| 28.6 | 21 | 3 1 0 |

Cell and atoms:
Cell: 12.9970 12.9970 7.8260 Å, 90.00 90.00 120.00°
Space group P3 (No. 143)
Inequivalent atoms, fractional coordinates:
1 Rb 0.0495 0.5780 0.0000
2 Rb 0.2799 0.0841 0.4653
3 Mn 0.0000 0.0000 0.8887
4 Mn 0.3333 0.6667 0.4135
5 Mn 0.6667 0.3333 0.2437
6 I 0.0000 0.0000 0.2337
7 I 0.0618 0.8428 0.7676
8 I 0.1893 0.4467 0.2861
9 I 0.3333 0.6667 0.7584
10 I 0.4711 0.2090 0.0428
11 I 0.5393 0.4005 0.4410